1.
Li7Co5O12: calculated powder X-ray diffraction pattern (Cu Kα X-rays), based on DFT lattice parameters and positions (PBE+U).

The 10 most intense peaks (2θ = 10–90°), by intensity:
d/Å	two_theta	I/Imax
4.728	18.8	100
2.019	44.9	50
2.029	44.7	26
2.428	37.0	24
1.440	64.7	13
2.420	37.1	12
2.325	38.7	10
1.163	83.1	9
1.861	48.9	7
1.423	65.6	7

Atomic structure:
Lattice parameters (Å, degrees): 5.6935 6.4072 6.4173 96.80 116.10 102.94
Fractional positions:
Li: 0.0000 0.0000 0.0000
Li: 0.2474 0.3272 0.8352
Li: 0.2513 0.6794 0.1666
Li: 0.2584 0.0014 0.4958
Li: 0.7416 0.9986 0.5042
Li: 0.7487 0.3206 0.8334
Li: 0.7526 0.6728 0.1648
Co: 0.9997 0.3274 0.3271
Co: 0.0003 0.6726 0.6729
Co: 0.4983 0.3325 0.3322
Co: 0.5000 0.0000 0.0000
Co: 0.5017 0.6675 0.6678
O: 0.1270 0.6483 0.4369
O: 0.1366 0.9743 0.7540
O: 0.1398 0.3412 0.1168
O: 0.3639 0.3445 0.5614
O: 0.3689 0.6793 0.8998
O: 0.3850 0.0168 0.2420
O: 0.6150 0.9832 0.7580
O: 0.6311 0.3207 0.1002
O: 0.6361 0.6555 0.4386
O: 0.8602 0.6588 0.8832
O: 0.8634 0.0257 0.2460
O: 0.8730 0.3517 0.5631

2.
CaWO2: calculated powder X-ray diffraction pattern (Cu Kα X-rays), based on DFT lattice parameters and positions (PBE+U).

The 10 most intense peaks (2θ = 10–90°), by intensity:
d/Å	two_theta	I/Imax
8.513	10.4	100
8.777	10.1	76
2.407	37.4	34
2.773	32.3	24
2.618	34.2	23
2.838	31.5	18
2.378	37.8	15
2.694	33.3	15
2.080	43.5	14
2.103	43.0	14

Atomic structure:
Lattice parameters (Å, degrees): 2.9634 8.6212 8.8959 88.95 80.62 80.94
Fractional positions:
Ca: 0.1537 0.4784 0.2318
Ca: 0.3447 0.8146 0.4744
Ca: 0.6553 0.1854 0.5256
Ca: 0.8463 0.5216 0.7682
W: 0.0673 0.8277 0.1093
W: 0.3302 0.1128 0.1949
W: 0.6698 0.8872 0.8051
W: 0.9327 0.1723 0.8907
O: 0.1418 0.0336 0.6720
O: 0.2880 0.7200 0.7068
O: 0.3188 0.2947 0.0340
O: 0.4483 0.3135 0.7556
O: 0.5517 0.6865 0.2444
O: 0.6812 0.7053 0.9660
O: 0.7120 0.2800 0.2932
O: 0.8582 0.9664 0.3280

3.
LiVF4: calculated powder X-ray diffraction pattern (Cu Kα X-rays), based on DFT lattice parameters and positions (PBE+U).

The 10 most intense peaks (2θ = 10–90°), by intensity:
d/Å	two_theta	I/Imax
5.197	17.1	100
5.022	17.7	91
1.998	45.4	56
3.227	27.6	50
3.898	22.8	42
2.486	36.1	39
2.387	37.7	34
1.905	47.7	26
1.641	56.0	18
1.487	62.5	17

Atomic structure:
Lattice parameters (Å, degrees): 6.1843 6.1843 5.1210 108.38 108.38 58.81
Fractional positions:
Li: 0.0000 0.5000 0.0000
Li: 0.5000 0.0000 0.5000
V: 0.1497 0.8503 0.7500
V: 0.8503 0.1497 0.2500
F: 0.0084 0.7895 0.3262
F: 0.2078 0.5428 0.8127
F: 0.2105 0.9916 0.1738
F: 0.4572 0.7922 0.6873
F: 0.5428 0.2078 0.3127
F: 0.7895 0.0084 0.8262
F: 0.7922 0.4572 0.1873
F: 0.9916 0.2105 0.6738

4.
Li9Co7O16: calculated powder X-ray diffraction pattern (Cu Kα X-rays), based on DFT lattice parameters and positions (PBE+U).

The 10 most intense peaks (2θ = 10–90°), by intensity:
d/Å	two_theta	I/Imax
4.819	18.4	100
2.069	43.8	55
2.073	43.7	28
2.487	36.1	27
1.458	63.8	22
1.471	63.2	16
2.490	36.1	14
1.902	47.8	14
2.385	37.7	12
1.192	80.6	10

Atomic structure:
Lattice parameters (Å, degrees): 6.5563 6.5563 8.2943 90.60 90.60 52.81
Fractional positions:
Li: 0.0000 0.0000 0.0000
Li: 0.0000 0.0000 0.5000
Li: 0.1226 0.6292 0.7468
Li: 0.2493 0.2493 0.4998
Li: 0.3708 0.8774 0.2532
Li: 0.5000 0.5000 0.0000
Li: 0.6292 0.1226 0.7468
Li: 0.7507 0.7507 0.5002
Li: 0.8774 0.3708 0.2532
Co: 0.1237 0.6343 0.2555
Co: 0.2502 0.2502 0.9996
Co: 0.3657 0.8763 0.7445
Co: 0.5000 0.5000 0.5000
Co: 0.6343 0.1237 0.2555
Co: 0.7498 0.7498 0.0004
Co: 0.8763 0.3657 0.7445
O: 0.0100 0.0100 0.7544
O: 0.1191 0.6165 0.0065
O: 0.1563 0.6121 0.4910
O: 0.2438 0.2438 0.7567
O: 0.2580 0.2580 0.2432
O: 0.3835 0.8809 0.9935
O: 0.3879 0.8437 0.5090
O: 0.4969 0.4969 0.2670
O: 0.5031 0.5031 0.7330
O: 0.6121 0.1563 0.4910
O: 0.6165 0.1191 0.0065
O: 0.7420 0.7420 0.7568
O: 0.7562 0.7562 0.2433
O: 0.8437 0.3879 0.5090
O: 0.8809 0.3835 0.9935
O: 0.9900 0.9900 0.2456

5.
SrNdMnCoO6: calculated powder X-ray diffraction pattern (Cu Kα X-rays), based on DFT lattice parameters and positions (PBE+U).

The 10 most intense peaks (2θ = 10–90°), by intensity:
d/Å	two_theta	I/Imax
2.740	32.7	100
1.582	58.3	38
1.938	46.9	34
1.370	68.5	20
2.237	40.3	16
1.225	78.0	16
4.475	19.8	7
3.875	22.9	7
1.119	87.1	7
1.168	82.6	5

Atomic structure:
Lattice parameters (Å, degrees): 5.4805 5.4805 5.4805 60.00 60.00 60.00
Fractional positions:
Sr: 0.0000 0.0000 0.0000
Nd: 0.5000 0.5000 0.5000
Mn: 0.7500 0.7500 0.7500
Co: 0.2500 0.2500 0.2500
O: 0.5062 0.5062 0.9938
O: 0.5062 0.9938 0.5062
O: 0.5062 0.9938 0.9938
O: 0.9938 0.5062 0.5062
O: 0.9938 0.5062 0.9938
O: 0.9938 0.9938 0.5062

6.
Li2VCrP2O8F2: calculated powder X-ray diffraction pattern (Cu Kα X-rays), based on DFT lattice parameters and positions (PBE+U).

The 10 most intense peaks (2θ = 10–90°), by intensity:
d/Å	two_theta	I/Imax
3.083	29.0	100
3.317	26.9	91
3.340	26.7	73
4.792	18.5	60
4.824	18.4	38
2.477	36.3	33
4.972	17.8	32
3.445	25.9	28
3.359	26.5	28
3.990	22.3	27

Atomic structure:
Lattice parameters (Å, degrees): 6.9624 7.3434 7.9855 90.68 91.62 117.59
Fractional positions:
Li: 0.0569 0.3116 0.1729
Li: 0.4416 0.6884 0.3281
Li: 0.5584 0.3116 0.6719
Li: 0.9431 0.6884 0.8271
V: 0.0000 0.0000 0.5000
V: 0.5000 0.5000 0.0000
Cr: 0.0000 0.5000 0.5000
Cr: 0.5000 0.0000 0.0000
P: 0.0198 0.7387 0.1594
P: 0.4835 0.2622 0.3410
P: 0.5165 0.7378 0.6590
P: 0.9802 0.2613 0.8406
O: 0.0190 0.1080 0.7332
O: 0.1044 0.6131 0.2703
O: 0.1768 0.8427 0.0163
O: 0.1913 0.4142 0.9390
O: 0.3077 0.5834 0.5601
O: 0.3249 0.1553 0.4832
O: 0.3970 0.3882 0.2310
O: 0.4802 0.8914 0.7673
O: 0.5198 0.1086 0.2327
O: 0.6030 0.6118 0.7690
O: 0.6751 0.8447 0.5168
O: 0.6923 0.4166 0.4399
O: 0.8087 0.5858 0.0610
O: 0.8232 0.1573 0.9837
O: 0.8956 0.3869 0.7297
O: 0.9810 0.8920 0.2668
F: 0.0286 0.7587 0.6000
F: 0.4714 0.2328 0.9001
F: 0.5286 0.7672 0.0999
F: 0.9714 0.2413 0.4000